Record 1
Starting from a structure optimized by DFT (GGA-PBE), the powder diffraction line list of Sc7Au was simulated for a wavelength of 1.5418 Å.
Peak positions follow from Bragg's law for the DFT cell and can differ from measured ones.

Structural model:
Cell lengths 6.3771, 6.3771, 6.3771 Å; angles 60.00, 60.00, 60.00 degrees
Fractional coordinates of all 8 atoms:
Sc 0.0000 0.0000 0.0000
Sc 0.0000 0.0000 0.5000
Sc 0.0000 0.5000 0.0000
Sc 0.0000 0.5000 0.5000
Sc 0.5000 0.0000 0.0000
Sc 0.5000 0.0000 0.5000
Sc 0.5000 0.5000 0.0000
Au 0.5000 0.5000 0.5000

Largest 6 diffraction maxima, by angle, 10° ≤ 2θ ≤ 90°:
2θ 17.03, I = 46; 2θ 32.94, I = 30; 2θ 34.45, I = 100; 2θ 39.99, I = 49; 2θ 57.84, I = 31; 2θ 69.08, I = 36



Record 2
Starting from a structure optimized by DFT (GGA-PBE), the powder diffraction line list of ScSiAu was simulated for a wavelength of 1.5418 Å.
Peak positions follow from Bragg's law for the DFT cell and can differ from measured ones.

Structural model:
Cell lengths 5.7197, 5.7197, 5.7197 Å; angles 140.96, 85.93, 107.11 degrees
Fractional coordinates of all 6 atoms:
Sc 0.1632 0.2500 0.4132
Sc 0.8368 0.7500 0.5868
Si 0.2095 0.5511 0.1584
Si 0.3926 0.0511 0.8416
Au 0.5651 0.9351 0.1301
Au 0.8050 0.4351 0.8699

Largest 6 diffraction maxima, by angle, 10° ≤ 2θ ≤ 90°:
2θ 16.80, I = 90; 2θ 25.62, I = 33; 2θ 26.23, I = 35; 2θ 34.41, I = 100; 2θ 36.99, I = 58; 2θ 40.01, I = 26



Record 3
Starting from a structure optimized by DFT (GGA-PBE), the powder diffraction line list of ScSiAu was simulated for a wavelength of 1.5418 Å.
Peak positions follow from Bragg's law for the DFT cell and can differ from measured ones.

Structural model:
Cell lengths 5.2103, 3.1763, 6.7567 Å; angles 90.00, 105.46, 90.00 degrees
Fractional coordinates of all 6 atoms:
Sc 0.1159 0.0000 0.2957
Sc 0.8841 0.0000 0.7043
Si 0.2359 0.5000 0.9965
Si 0.7641 0.5000 0.0035
Au 0.3749 0.5000 0.6654
Au 0.6251 0.5000 0.3346

Largest 6 diffraction maxima, by angle, 10° ≤ 2θ ≤ 90°:
2θ 13.60, I = 71; 2θ 25.11, I = 65; 2θ 28.09, I = 67; 2θ 33.38, I = 77; 2θ 38.03, I = 100; 2θ 40.39, I = 87



Record 4
Starting from a structure optimized by DFT (GGA-PBE), the powder diffraction line list of Sm5Sc4Au4 was simulated for a wavelength of 1.5418 Å.
Peak positions follow from Bragg's law for the DFT cell and can differ from measured ones.

Structural model:
Cell lengths 9.6198, 9.6198, 9.6198 Å; angles 92.22, 92.22, 157.31 degrees
Fractional coordinates of all 13 atoms:
Sm 0.0000 0.0000 0.0000
Sm 0.2918 0.3608 0.6526
Sm 0.3608 0.7082 0.0691
Sm 0.6392 0.2918 0.9309
Sm 0.7082 0.6392 0.3474
Sc 0.1188 0.5735 0.6923
Sc 0.4265 0.1188 0.5452
Sc 0.5735 0.8812 0.4548
Sc 0.8812 0.4265 0.3077
Au 0.0467 0.2334 0.2801
Au 0.2334 0.9533 0.1867
Au 0.7666 0.0467 0.8133
Au 0.9533 0.7666 0.7199

Largest 6 diffraction maxima, by angle, 10° ≤ 2θ ≤ 90°:
2θ 31.03, I = 40; 2θ 33.89, I = 100; 2θ 34.28, I = 56; 2θ 36.54, I = 56; 2θ 39.39, I = 23; 2θ 61.13, I = 28



Record 5
Starting from a structure optimized by DFT (GGA-PBE), the powder diffraction line list of SmScAu4 was simulated for a wavelength of 1.5418 Å.
Peak positions follow from Bragg's law for the DFT cell and can differ from measured ones.

Structural model:
Cell lengths 3.6871, 3.6871, 9.0784 Å; angles 90.00, 90.00, 90.00 degrees
Fractional coordinates of all 6 atoms:
Sm 0.0000 0.0000 0.0000
Sc 0.5000 0.5000 0.5000
Au 0.0000 0.0000 0.3441
Au 0.0000 0.0000 0.6559
Au 0.5000 0.5000 0.1782
Au 0.5000 0.5000 0.8218

Largest 6 diffraction maxima, by angle, 10° ≤ 2θ ≤ 90°:
2θ 34.40, I = 70; 2θ 38.49, I = 100; 2θ 49.44, I = 25; 2θ 64.34, I = 45; 2θ 72.19, I = 14; 2θ 82.78, I = 12



Record 6
Starting from a structure optimized by DFT (GGA-PBE), the powder diffraction line list of SmScAu6 was simulated for a wavelength of 1.5418 Å.
Peak positions follow from Bragg's law for the DFT cell and can differ from measured ones.

Structural model:
Cell lengths 5.0437, 5.0437, 8.9677 Å; angles 115.78, 115.78, 53.10 degrees
Fractional coordinates of all 8 atoms:
Sm 0.0000 0.0000 0.0000
Sc 0.0000 0.0000 0.5000
Au 0.2454 0.2454 0.8544
Au 0.2538 0.2538 0.3882
Au 0.4901 0.4901 0.2506
Au 0.5099 0.5099 0.7494
Au 0.7462 0.7462 0.6118
Au 0.7546 0.7546 0.1456

Largest 6 diffraction maxima, by angle, 10° ≤ 2θ ≤ 90°:
2θ 36.14, I = 98; 2θ 36.46, I = 100; 2θ 39.99, I = 39; 2θ 40.23, I = 35; 2θ 46.05, I = 25; 2θ 70.30, I = 27



Which formula does entry 2 have? ScSiAu



Repeat the fourth record exactly.
Starting from a structure optimized by DFT (GGA-PBE), the powder diffraction line list of Sm5Sc4Au4 was simulated for a wavelength of 1.5418 Å.
Peak positions follow from Bragg's law for the DFT cell and can differ from measured ones.

Structural model:
Cell lengths 9.6198, 9.6198, 9.6198 Å; angles 92.22, 92.22, 157.31 degrees
Fractional coordinates of all 13 atoms:
Sm 0.0000 0.0000 0.0000
Sm 0.2918 0.3608 0.6526
Sm 0.3608 0.7082 0.0691
Sm 0.6392 0.2918 0.9309
Sm 0.7082 0.6392 0.3474
Sc 0.1188 0.5735 0.6923
Sc 0.4265 0.1188 0.5452
Sc 0.5735 0.8812 0.4548
Sc 0.8812 0.4265 0.3077
Au 0.0467 0.2334 0.2801
Au 0.2334 0.9533 0.1867
Au 0.7666 0.0467 0.8133
Au 0.9533 0.7666 0.7199

Largest 6 diffraction maxima, by angle, 10° ≤ 2θ ≤ 90°:
2θ 31.03, I = 40; 2θ 33.89, I = 100; 2θ 34.28, I = 56; 2θ 36.54, I = 56; 2θ 39.39, I = 23; 2θ 61.13, I = 28



What is the formula in the fourth record? Sm5Sc4Au4